1.
This entry pairs a crystal structure of NbTl2OF5 with its computed XRD peak list. Radiation: Cu Ka. Structure: DFT lattice parameters and positions (GGA-PBE).
Lines closer than 0.1° are merged.

Structure:
```
NbTl2OF5
1.0
-2.996 2.996 5.021
2.996 -2.996 5.021
2.996 2.996 -5.021
Nb Tl O F
1 2 1 5
Cartesian
0.000 0.000 0.000 Nb
2.996 0.000 2.420 Tl
0.000 2.996 2.420 Tl
0.000 0.000 8.244 O
0.000 0.000 2.165 F
1.387 1.387 0.267 F
1.609 -1.609 5.288 F
-1.609 1.609 5.288 F
1.609 1.609 5.288 F
```

Main lines, in order of rising 2θ (2θ = 15–90°):
2θ = 17.23°, intensity 21; 2θ = 17.67°, intensity 22; 2θ = 20.97°, intensity 30; 2θ = 27.55°, intensity 100; 2θ = 29.82°, intensity 39; 2θ = 34.87°, intensity 40; 2θ = 42.68°, intensity 26; 2θ = 47.24°, intensity 22; 2θ = 51.55°, intensity 36; 2θ = 56.87°, intensity 18



2.
This entry pairs a crystal structure of NbPd2SeF with its computed XRD peak list. Radiation: Cu Ka. Structure: DFT lattice parameters and positions (GGA-PBE).
Lines closer than 0.1° are merged.

Structure:
```
NbPd2SeF
1.0
4.608 0.000 0.000
0.000 4.608 0.000
0.000 0.000 4.059
Nb Pd Se F
1 2 1 1
Cartesian
0.000 0.000 0.000 Nb
0.000 2.304 2.030 Pd
2.304 0.000 2.030 Pd
2.304 2.304 0.000 Se
0.000 0.000 2.030 F
```

Main lines, in order of rising 2θ (2θ = 15–90°):
2θ = 19.26°, intensity 2; 2θ = 35.32°, intensity 100; 2θ = 39.09°, intensity 46; 2θ = 44.65°, intensity 16; 2θ = 56.48°, intensity 15; 2θ = 60.82°, intensity 24; 2θ = 68.40°, intensity 29; 2θ = 74.71°, intensity 13; 2θ = 76.18°, intensity 10; 2θ = 84.01°, intensity 5



Repeat the first record exactly.
This entry pairs a crystal structure of NbTl2OF5 with its computed XRD peak list. Radiation: Cu Ka. Structure: DFT lattice parameters and positions (GGA-PBE).
Lines closer than 0.1° are merged.

Structure:
```
NbTl2OF5
1.0
-2.996 2.996 5.021
2.996 -2.996 5.021
2.996 2.996 -5.021
Nb Tl O F
1 2 1 5
Cartesian
0.000 0.000 0.000 Nb
2.996 0.000 2.420 Tl
0.000 2.996 2.420 Tl
0.000 0.000 8.244 O
0.000 0.000 2.165 F
1.387 1.387 0.267 F
1.609 -1.609 5.288 F
-1.609 1.609 5.288 F
1.609 1.609 5.288 F
```

Main lines, in order of rising 2θ (2θ = 15–90°):
2θ = 17.23°, intensity 21; 2θ = 17.67°, intensity 22; 2θ = 20.97°, intensity 30; 2θ = 27.55°, intensity 100; 2θ = 29.82°, intensity 39; 2θ = 34.87°, intensity 40; 2θ = 42.68°, intensity 26; 2θ = 47.24°, intensity 22; 2θ = 51.55°, intensity 36; 2θ = 56.87°, intensity 18



> What is the formula in the first record?

NbTl2OF5